Entry 1:
This entry pairs a crystal structure of LiGeSbTe3 with its calculated X-ray powder pattern. Radiation: a wavelength of 1.5418 Å. Structure: DFT lattice parameters and positions (PBE).
Neutral-atom scattering factors, no anomalous dispersion.

Cell lengths 4.296, 4.296, 10.665 Å; angles 90.00, 90.00, 120.00 degrees
Element x y z (fractional)
Li1 0.000 0.000 0.000
Ge1 0.333 0.667 0.688
Sb1 0.667 0.333 0.333
Te1 0.000 0.000 0.504
Te2 0.333 0.667 0.158
Te3 0.667 0.333 0.832

Most intense lines, 2θ from 15° to 90°, in order of rising 2θ:
3.513 Å, rel. 19; 3.051 Å, rel. 100; 2.167 Å, rel. 37; 2.148 Å, rel. 36; 1.778 Å, rel. 6; 1.756 Å, rel. 20; 1.526 Å, rel. 12; 1.369 Å, rel. 15; 1.360 Å, rel. 17; 1.255 Å, rel. 5; 1.244 Å, rel. 12; 1.240 Å, rel. 6

Entry 2:
This entry pairs a crystal structure of Mn2In2Br7 with its calculated X-ray powder pattern. Radiation: a wavelength of 1.5418 Å. Structure: DFT lattice parameters and positions (PBE).
Neutral-atom scattering factors, no anomalous dispersion.

Cell lengths 7.936, 7.936, 13.684 Å; angles 96.56, 96.56, 103.45 degrees
Element x y z (fractional)
Mn1 0.210 0.239 0.209
Mn2 0.239 0.210 0.709
Mn3 0.761 0.790 0.291
Mn4 0.790 0.761 0.791
In1 0.302 0.695 0.988
In2 0.305 0.698 0.512
In3 0.695 0.302 0.488
In4 0.698 0.305 0.012
Br1 0.076 0.373 0.608
Br2 0.085 0.915 0.750
Br3 0.096 0.452 0.118
Br4 0.373 0.076 0.108
Br5 0.380 0.385 0.372
Br6 0.385 0.380 0.872
Br7 0.452 0.096 0.618
Br8 0.548 0.904 0.382
Br9 0.615 0.620 0.128
Br10 0.620 0.615 0.628
Br11 0.627 0.924 0.892
Br12 0.904 0.548 0.882
Br13 0.915 0.085 0.250
Br14 0.924 0.627 0.392

Most intense lines, 2θ from 15° to 90°, in order of rising 2θ:
4.717 Å, rel. 61; 4.570 Å, rel. 94; 4.319 Å, rel. 50; 3.220 Å, rel. 100; 3.130 Å, rel. 29; 3.040 Å, rel. 94; 2.728 Å, rel. 32; 2.547 Å, rel. 38; 2.436 Å, rel. 39; 2.413 Å, rel. 28; 2.254 Å, rel. 28; 1.997 Å, rel. 39

Entry 3:
This entry pairs a crystal structure of Tb2ZnGe3Ir4 with its calculated X-ray powder pattern. Radiation: a wavelength of 1.5418 Å. Structure: DFT lattice parameters and positions (PBE).
Neutral-atom scattering factors, no anomalous dispersion.

Cell lengths 4.169, 4.169, 10.420 Å; angles 90.00, 90.00, 90.00 degrees
Element x y z (fractional)
Tb1 0.000 0.500 0.249
Tb2 0.500 0.000 0.751
Zn1 0.000 0.000 0.500
Ge1 0.000 0.500 0.869
Ge2 0.500 0.000 0.131
Ge3 0.500 0.500 0.500
Ir1 0.000 0.000 0.000
Ir2 0.000 0.500 0.637
Ir3 0.500 0.000 0.363
Ir4 0.500 0.500 0.000

Most intense lines, 2θ from 15° to 90°, in order of rising 2θ:
3.473 Å, rel. 12; 2.837 Å, rel. 22; 2.669 Å, rel. 50; 2.566 Å, rel. 100; 2.085 Å, rel. 64; 1.952 Å, rel. 28; 1.864 Å, rel. 29; 1.643 Å, rel. 24; 1.474 Å, rel. 23; 1.390 Å, rel. 22; 1.278 Å, rel. 23; 1.105 Å, rel. 15

Entry 4:
This entry pairs a crystal structure of AlPt2O4 with its calculated X-ray powder pattern. Radiation: a wavelength of 1.5418 Å. Structure: DFT lattice parameters and positions (PBE).
Neutral-atom scattering factors, no anomalous dispersion.

Cell lengths 5.842, 5.842, 5.842 Å; angles 140.41, 140.41, 57.23 degrees
Element x y z (fractional)
Al1 0.000 0.000 0.000
Pt1 0.372 0.372 0.000
Pt2 0.628 0.628 0.000
O1 0.000 0.500 0.500
O2 0.181 0.181 0.000
O3 0.500 0.000 0.500
O4 0.819 0.819 0.000

Most intense lines, 2θ from 15° to 90°, in order of rising 2θ:
3.692 Å, rel. 100; 2.798 Å, rel. 84; 2.587 Å, rel. 64; 2.564 Å, rel. 21; 1.978 Å, rel. 41; 1.890 Å, rel. 49; 1.821 Å, rel. 25; 1.744 Å, rel. 26; 1.572 Å, rel. 30; 1.566 Å, rel. 20; 1.340 Å, rel. 18; 1.125 Å, rel. 18

Entry 5:
This entry pairs a crystal structure of Tm3Sc2Cd2 with its calculated X-ray powder pattern. Radiation: a wavelength of 1.5418 Å. Structure: DFT lattice parameters and positions (PBE).
Neutral-atom scattering factors, no anomalous dispersion.

Cell lengths 11.197, 11.197, 3.368 Å; angles 90.00, 90.00, 154.78 degrees
Element x y z (fractional)
Tm1 0.000 0.000 0.000
Tm2 0.152 0.848 0.000
Tm3 0.848 0.152 0.000
Sc1 0.286 0.714 0.500
Sc2 0.714 0.286 0.500
Cd1 0.428 0.572 0.500
Cd2 0.572 0.428 0.500

Most intense lines, 2θ from 15° to 90°, in order of rising 2θ:
3.258 Å, rel. 14; 2.752 Å, rel. 100; 2.631 Å, rel. 81; 2.473 Å, rel. 49; 2.444 Å, rel. 35; 2.122 Å, rel. 15; 1.738 Å, rel. 34; 1.602 Å, rel. 14; 1.464 Å, rel. 14; 1.438 Å, rel. 21; 1.418 Å, rel. 23; 1.096 Å, rel. 18

Entry 6:
This entry pairs a crystal structure of U3FeHg3Se8 with its calculated X-ray powder pattern. Radiation: a wavelength of 1.5418 Å. Structure: DFT lattice parameters and positions (PBE).
Neutral-atom scattering factors, no anomalous dispersion.

Cell lengths 10.591, 10.591, 10.591 Å; angles 43.95, 43.95, 43.95 degrees
Element x y z (fractional)
U1 0.000 0.500 0.500
U2 0.500 0.000 0.500
U3 0.500 0.500 0.000
Fe1 0.000 0.000 0.000
Hg1 0.000 0.000 0.500
Hg2 0.000 0.500 0.000
Hg3 0.500 0.000 0.000
Se1 0.212 0.212 0.734
Se2 0.212 0.734 0.212
Se3 0.266 0.788 0.788
Se4 0.277 0.277 0.277
Se5 0.723 0.723 0.723
Se6 0.734 0.212 0.212
Se7 0.788 0.266 0.788
Se8 0.788 0.788 0.266

Most intense lines, 2θ from 15° to 90°, in order of rising 2θ:
4.776 Å, rel. 32; 3.338 Å, rel. 20; 3.095 Å, rel. 100; 2.630 Å, rel. 11; 2.478 Å, rel. 33; 2.200 Å, rel. 28; 1.982 Å, rel. 34; 1.830 Å, rel. 16; 1.758 Å, rel. 21; 1.669 Å, rel. 17; 1.277 Å, rel. 14; 1.241 Å, rel. 15

Entry 7:
This entry pairs a crystal structure of BTe2Ru with its calculated X-ray powder pattern. Radiation: a wavelength of 1.5418 Å. Structure: DFT lattice parameters and positions (PBE).
Neutral-atom scattering factors, no anomalous dispersion.

Cell lengths 6.690, 6.690, 6.690 Å; angles 129.34, 129.34, 74.47 degrees
Element x y z (fractional)
B1 0.000 0.000 0.000
B2 0.750 0.250 0.500
Te1 0.090 0.625 0.965
Te2 0.375 0.340 0.465
Te3 0.660 0.125 0.035
Te4 0.875 0.910 0.535
Ru1 0.250 0.750 0.500
Ru2 0.500 0.500 0.000

Most intense lines, 2θ from 15° to 90°, in order of rising 2θ:
5.042 Å, rel. 6; 3.223 Å, rel. 100; 3.017 Å, rel. 11; 2.862 Å, rel. 8; 2.489 Å, rel. 16; 2.024 Å, rel. 21; 1.950 Å, rel. 40; 1.714 Å, rel. 26; 1.626 Å, rel. 13; 1.308 Å, rel. 7; 1.268 Å, rel. 10; 1.154 Å, rel. 11

Entry 8:
This entry pairs a crystal structure of NaAlCd2F8 with its calculated X-ray powder pattern. Radiation: a wavelength of 1.5418 Å. Structure: DFT lattice parameters and positions (PBE).
Neutral-atom scattering factors, no anomalous dispersion.

Cell lengths 4.951, 6.853, 4.961 Å; angles 90.00, 90.24, 90.00 degrees
Element x y z (fractional)
Na1 0.000 0.000 0.000
Al1 0.000 0.500 0.000
Cd1 0.500 0.255 0.500
Cd2 0.500 0.745 0.500
F1 0.180 0.307 0.178
F2 0.180 0.693 0.178
F3 0.268 0.500 0.729
F4 0.306 0.000 0.691
F5 0.694 0.000 0.309
F6 0.732 0.500 0.271
F7 0.820 0.307 0.822
F8 0.820 0.693 0.822

Most intense lines, 2θ from 15° to 90°, in order of rising 2θ:
4.956 Å, rel. 94; 3.512 Å, rel. 69; 3.497 Å, rel. 78; 3.427 Å, rel. 19; 2.818 Å, rel. 100; 2.478 Å, rel. 17; 2.452 Å, rel. 59; 2.213 Å, rel. 33; 2.008 Å, rel. 28; 1.863 Å, rel. 47; 1.859 Å, rel. 52; 1.539 Å, rel. 23